For Pr2WC2, a GGA-PBE-relaxed structure gives the computed PXRD pattern in this record (Cu Kα X-rays).
No peak broadening, texture or thermal motion is included.

Structure:
Unit cell a=5.854 b=5.854 c=10.535 alpha=90.00 beta=90.00 gamma=90.00
Fractional positions:
Pr: 0.197 0.197 0.157
Pr: 0.197 0.197 0.843
Pr: 0.303 0.697 0.343
Pr: 0.303 0.697 0.657
Pr: 0.697 0.303 0.343
Pr: 0.697 0.303 0.657
Pr: 0.803 0.803 0.157
Pr: 0.803 0.803 0.843
W: 0.177 0.177 0.500
W: 0.323 0.677 0.000
W: 0.677 0.323 0.000
W: 0.823 0.823 0.500
C: 0.000 0.000 0.360
C: 0.000 0.000 0.640
C: 0.000 0.500 0.000
C: 0.000 0.500 0.500
C: 0.500 0.000 0.000
C: 0.500 0.000 0.500
C: 0.500 0.500 0.140
C: 0.500 0.500 0.860

Principal peaks in the range 2θ = 10–90°, in order of falling intensity:
- 33.46 deg, I = 100, (1 1 3)
- 34.25 deg, I = 53, (2 1 0)
- 30.54 deg, I = 39, (2 0 0)
- 53.74 deg, I = 30, (3 0 3)
- 29.67 deg, I = 23, (1 0 3)
- 63.08 deg, I = 17, (3 2 3)
- 63.83 deg, I = 16, (2 1 6)
- 65.77 deg, I = 16, (4 1 0)
- 88.58 deg, I = 14, (4 1 6)
- 77.88 deg, I = 11, (4 2 3)